The following is a computed powder diffraction line list of Tb2Al8Pd. It was derived from DFT lattice parameters and positions (PBE), using CuKα.
Neutral-atom scattering factors, no anomalous dispersion.

Atomic structure:
Cell: 4.2999 4.2999 11.2140 Å, 90.00 90.00 90.00°
Space group P4/mmm (No. 123)
Inequivalent atoms, fractional coordinates:
Tb  0.0000  0.0000  0.1887 (multiplicity 2)
Al  0.0000  0.5000  0.0000 (multiplicity 2)
Al  0.0000  0.5000  0.3746 (multiplicity 4)
Al  0.5000  0.5000  0.1955 (multiplicity 2)
Pd  0.0000  0.0000  0.5000 (multiplicity 1)

Peak list (8 most intense, 2θ = 10–80°, low angle first)
hkl 1 0 0, 2θ 20.7, rel. 98.5; hkl 0 0 3, 2θ 23.8, rel. 24.8; hkl 1 1 0, 2θ 29.4, rel. 30.1; hkl 1 0 3, 2θ 31.7, rel. 61.4; hkl 1 1 3, 2θ 38.2, rel. 100.0; hkl 2 0 0, 2θ 42.0, rel. 47.1; hkl 2 1 3, 2θ 53.6, rel. 28.1; hkl 3 1 3, 2θ 74.2, rel. 28.0


The following is a computed powder diffraction line list of Ga6Pd. It was derived from DFT lattice parameters and positions (PBE), using CuKα.
Neutral-atom scattering factors, no anomalous dispersion.

Atomic structure:
Cell: 7.5096 8.4441 8.0739 Å, 90.00 90.00 90.00°
Space group Cmcm (No. 63)
Inequivalent atoms, fractional coordinates:
Ga  0.0000  0.1750  0.0142 (multiplicity 8)
Ga  0.1956  0.5000  0.0000 (multiplicity 8)
Ga  0.2010  0.2784  0.7500 (multiplicity 8)
Pd  0.0000  0.3902  0.2500 (multiplicity 4)

Peak list (8 most intense, 2θ = 10–80°, low angle first)
hkl 1 1 2, 2θ 27.2, rel. 20.8; hkl 0 2 2, 2θ 30.6, rel. 21.0; hkl 2 2 1, 2θ 33.8, rel. 19.1; hkl 2 2 2, 2θ 39.1, rel. 100.0; hkl 1 3 2, 2θ 40.9, rel. 42.1; hkl 3 1 2, 2θ 43.9, rel. 31.1; hkl 0 0 4, 2θ 44.9, rel. 32.8; hkl 2 4 0, 2θ 49.5, rel. 20.6


The following is a computed powder diffraction line list of Cs3CeNd3Te8. It was derived from DFT lattice parameters and positions (PBE), using CuKα.
Neutral-atom scattering factors, no anomalous dispersion.

Atomic structure:
Cell: 9.2146 9.2146 27.3381 Å, 90.00 90.00 120.00°
Space group R-3m (No. 166, hexagonal axes)
Inequivalent atoms, fractional coordinates:
Cs  0.0000  0.5000  0.0000 (multiplicity 9)
Ce  0.0000  0.0000  0.5000 (multiplicity 3)
Nd  0.0000  0.5000  0.5000 (multiplicity 9)
Te  0.0000  0.0000  0.2317 (multiplicity 6)
Te  0.0068  0.5034  0.2300 (multiplicity 18)

Peak list (8 most intense, 2θ = 10–80°, low angle first)
hkl 0 2 4, 2θ 25.9, rel. 100.0; hkl 0 2 7, 2θ 32.1, rel. 14.8; hkl 2 0 8, 2θ 34.6, rel. 31.6; hkl 2 2 0, 2θ 39.1, rel. 37.5; hkl 2 0 11, 2θ 42.9, rel. 10.3; hkl 4 0 4, 2θ 47.5, rel. 19.0; hkl 0 4 8, 2θ 53.2, rel. 9.3; hkl 2 4 4, 2θ 63.1, rel. 16.0


The following is a computed powder diffraction line list of Ti4PIr. It was derived from DFT lattice parameters and positions (PBE), using CuKα.
Neutral-atom scattering factors, no anomalous dispersion.

Atomic structure:
Cell: 5.9079 5.8919 6.1572 Å, 90.00 94.98 90.00°
Space group P2_1/c (No. 14)
Inequivalent atoms, fractional coordinates:
Ti  0.1506  0.1535  0.3569 (multiplicity 4)
Ti  0.3446  0.6594  0.3154 (multiplicity 4)
P  0.5000  0.0000  0.5000 (multiplicity 2)
Ir  0.0000  0.0000  0.0000 (multiplicity 2)

Peak list (8 most intense, 2θ = 10–80°, low angle first)
hkl 1 0 0, 2θ 15.1, rel. 89.4; hkl 0 1 1, 2θ 20.9, rel. 69.2; hkl 1 1 -1, 2θ 25.1, rel. 75.9; hkl 1 1 1, 2θ 26.6, rel. 72.5; hkl 1 0 2, 2θ 34.1, rel. 100.0; hkl 2 1 -1, 2θ 36.1, rel. 52.8; hkl 0 2 2, 2θ 42.6, rel. 35.6; hkl 2 0 2, 2θ 44.5, rel. 37.4


The following is a computed powder diffraction line list of K4MnAg3Br12. It was derived from DFT lattice parameters and positions (PBE), using CuKα.
Neutral-atom scattering factors, no anomalous dispersion.

Atomic structure:
Cell: 10.8020 10.8020 10.8020 Å, 90.00 90.00 90.00°
Space group Im-3m (No. 229)
Inequivalent atoms, fractional coordinates:
K  0.2500  0.2500  0.2500 (multiplicity 8)
Mn  0.0000  0.0000  0.0000 (multiplicity 2)
Ag  0.0000  0.0000  0.5000 (multiplicity 6)
Br  0.0000  0.0000  0.2304 (multiplicity 12)
Br  0.0000  0.2500  0.5000 (multiplicity 12)

Peak list (8 most intense, 2θ = 10–80°, low angle first)
hkl 2 0 0, 2θ 16.4, rel. 76.8; hkl 2 2 2, 2θ 28.6, rel. 47.0; hkl 4 0 0, 2θ 33.2, rel. 100.0; hkl 4 2 0, 2θ 37.2, rel. 37.4; hkl 4 4 0, 2θ 47.6, rel. 67.7; hkl 6 0 0, 2θ 50.7, rel. 18.8; hkl 4 4 4, 2θ 59.3, rel. 22.2; hkl 8 4 0, 2θ 79.3, rel. 27.0


The following is a computed powder diffraction line list of PrGa2Ni4Ir. It was derived from DFT lattice parameters and positions (PBE), using CuKα.
Neutral-atom scattering factors, no anomalous dispersion.

Atomic structure:
Cell: 4.1068 4.1068 25.2161 Å, 90.00 90.00 120.00°
Space group R-3m (No. 166, hexagonal axes)
Inequivalent atoms, fractional coordinates:
Pr  0.0000  0.0000  0.0000 (multiplicity 3)
Ga  0.0000  0.0000  0.2277 (multiplicity 6)
Ni  0.0000  0.0000  0.1193 (multiplicity 6)
Ni  0.0000  0.0000  0.4031 (multiplicity 6)
Ir  0.0000  0.0000  0.5000 (multiplicity 3)

Peak list (8 most intense, 2θ = 10–80°, low angle first)
hkl 0 0 3, 2θ 10.5, rel. 33.5; hkl 0 1 2, 2θ 26.0, rel. 31.5; hkl 1 0 4, 2θ 28.8, rel. 20.7; hkl 0 1 8, 2θ 38.2, rel. 57.1; hkl 1 1 0, 2θ 44.1, rel. 100.0; hkl 0 1 11, 2θ 47.2, rel. 13.9; hkl 2 0 8, 2θ 59.7, rel. 15.1; hkl 1 2 8, 2θ 77.1, rel. 14.0


The following is a computed powder diffraction line list of K3Bi4Au4. It was derived from DFT lattice parameters and positions (PBE), using CuKα.
Neutral-atom scattering factors, no anomalous dispersion.

Atomic structure:
Cell: 4.9731 5.1294 28.0507 Å, 90.00 90.00 90.00°
Space group Immm (No. 71)
Inequivalent atoms, fractional coordinates:
K  0.0000  0.0000  0.0000 (multiplicity 2)
K  0.0000  0.5000  0.3590 (multiplicity 4)
Bi  0.0000  0.0000  0.2494 (multiplicity 4)
Bi  0.0000  0.5000  0.0938 (multiplicity 4)
Au  0.0000  0.0000  0.4501 (multiplicity 4)
Au  0.0000  0.5000  0.1941 (multiplicity 4)

Peak list (8 most intense, 2θ = 10–80°, low angle first)
hkl 0 1 1, 2θ 17.6, rel. 100.0; hkl 1 0 3, 2θ 20.2, rel. 37.5; hkl 1 1 4, 2θ 28.0, rel. 91.3; hkl 0 1 7, 2θ 28.3, rel. 39.3; hkl 0 2 0, 2θ 35.0, rel. 50.5; hkl 2 0 0, 2θ 36.1, rel. 46.3; hkl 1 1 10, 2θ 40.9, rel. 92.7; hkl 2 2 0, 2θ 51.2, rel. 34.7


The following is a computed powder diffraction line list of La3Sn3Pt. It was derived from DFT lattice parameters and positions (PBE), using CuKα.
Neutral-atom scattering factors, no anomalous dispersion.

Atomic structure:
Cell: 11.6536 4.7187 15.6662 Å, 90.00 110.32 90.00°
Space group C2/m (No. 12)
Inequivalent atoms, fractional coordinates:
La  0.0281  0.0000  0.3825 (multiplicity 4)
La  0.0982  0.0000  0.9224 (multiplicity 4)
La  0.2454  0.0000  0.2391 (multiplicity 4)
Sn  0.0342  0.5000  0.2353 (multiplicity 4)
Sn  0.1235  0.5000  0.0767 (multiplicity 4)
Sn  0.1482  0.5000  0.5331 (multiplicity 4)
Pt  0.2476  0.0000  0.6157 (multiplicity 4)

Peak list (8 most intense, 2θ = 10–80°, low angle first)
hkl 1 1 3, 2θ 29.3, rel. 90.5; hkl 1 1 -4, 2θ 29.6, rel. 84.4; hkl 4 0 -2, 2θ 30.7, rel. 49.1; hkl 3 1 -4, 2θ 33.8, rel. 32.5; hkl 3 1 2, 2θ 36.5, rel. 100.0; hkl 3 1 -5, 2θ 37.2, rel. 39.1; hkl 0 2 0, 2θ 38.1, rel. 76.0; hkl 7 1 -3, 2θ 58.9, rel. 48.4


The following is a computed powder diffraction line list of Ca2TbHg9. It was derived from DFT lattice parameters and positions (PBE), using CuKα.
Neutral-atom scattering factors, no anomalous dispersion.

Atomic structure:
Cell: 4.6531 4.6531 14.0479 Å, 90.00 90.00 90.00°
Space group P4/mmm (No. 123)
Inequivalent atoms, fractional coordinates:
Ca  0.0000  0.0000  0.1659 (multiplicity 2)
Tb  0.0000  0.0000  0.5000 (multiplicity 1)
Hg  0.0000  0.5000  0.0000 (multiplicity 2)
Hg  0.0000  0.5000  0.3367 (multiplicity 4)
Hg  0.5000  0.5000  0.1667 (multiplicity 2)
Hg  0.5000  0.5000  0.5000 (multiplicity 1)

Peak list (8 most intense, 2θ = 10–80°, low angle first)
hkl 1 1 3, 2θ 33.3, rel. 100.0; hkl 0 0 6, 2θ 38.4, rel. 16.9; hkl 2 0 0, 2θ 38.7, rel. 33.4; hkl 2 0 6, 2θ 55.7, rel. 23.3; hkl 2 2 0, 2θ 55.9, rel. 11.7; hkl 1 1 9, 2θ 66.3, rel. 13.8; hkl 3 1 3, 2θ 66.6, rel. 27.5; hkl 2 2 6, 2θ 69.9, rel. 12.0


The following is a computed powder diffraction line list of Pr3TmS4. It was derived from DFT lattice parameters and positions (PBE), using CuKα.
Neutral-atom scattering factors, no anomalous dispersion.

Atomic structure:
Cell: 8.2094 11.4449 3.9831 Å, 90.00 90.00 90.00°
Space group Cmmm (No. 65)
Inequivalent atoms, fractional coordinates:
Pr  0.0000  0.0000  0.0000 (multiplicity 2)
Pr  0.2500  0.2500  0.5000 (multiplicity 4)
Tm  0.0000  0.5000  0.0000 (multiplicity 2)
S  0.0000  0.2592  0.0000 (multiplicity 4)
S  0.2319  0.5000  0.5000 (multiplicity 4)

Peak list (8 most intense, 2θ = 10–80°, low angle first)
hkl 2 2 0, 2θ 26.7, rel. 39.6; hkl 0 2 1, 2θ 27.3, rel. 37.3; hkl 2 0 1, 2θ 31.3, rel. 100.0; hkl 4 0 0, 2θ 44.1, rel. 12.5; hkl 2 4 1, 2θ 44.8, rel. 48.1; hkl 4 2 1, 2θ 52.7, rel. 13.3; hkl 4 4 0, 2θ 55.1, rel. 12.8; hkl 4 4 2, 2θ 74.1, rel. 21.1